The following is a simulated X-ray diffraction stick pattern of Sm8Ni2Os. It was derived from DFT lattice parameters and positions (PBE), using Cu Kα (weighted mean of Kα1 and Kα2).

Peak list (10 most intense, 2θ from 5° to 70°, by intensity)
2theta, intensity, (hkl)
30.52, 100, 1 3 1
33.42, 92, 3 1 -1
32.17, 91, 0 4 1
31.56, 86, 2 0 1
36.63, 75, 2 4 0
38.97, 70, 1 5 -1
29.41, 69, 1 1 -2
33.58, 61, 0 2 2
34.40, 53, 2 2 -2
59.07, 44, 2 0 -4

Atomic structure:
Lattice parameters (Å, degrees): 8.2775 12.6296 6.2627 90.00 109.86 90.00
Space group Cm (No. 8)
Symmetry-distinct sites (fractional):
Sm1 0.0000 0.0000 0.0000 x2
Sm2 0.0676 0.3681 0.7751 x4
Sm3 0.1429 0.1308 0.5602 x4
Sm4 0.2105 0.5000 0.3651 x2
Sm5 0.3525 0.2053 0.1779 x4
Ni1 0.3583 0.3115 0.6796 x4
Os1 0.3558 0.0000 0.3620 x2